This entry pairs a crystal structure of Y2ScPd with its simulated powder XRD pattern. Radiation: CuKα. Structure: a PBE-relaxed structure.
Lines closer than 0.1° are merged.

Structure:
```
data_Y2ScPd
_chemical_formula_sum 'Y2 Sc1 Pd1'
_cell_length_a 3.595
_cell_length_b 3.595
_cell_length_c 7.756
_cell_angle_alpha 90.00
_cell_angle_beta 90.00
_cell_angle_gamma 90.00
_space_group_name_H-M_alt 'P 1'
_space_group_IT_number 1
loop_
_space_group_symop_operation_xyz
'x,y,z'
loop_
_atom_site_label
_atom_site_fract_x
_atom_site_fract_y
_atom_site_fract_z
Y1 0.000 0.000 0.217
Y2 0.000 0.000 0.783
Sc1 0.500 0.500 0.500
Pd1 0.500 0.500 0.000
```

Most intense lines, 10 to 90 degrees two-theta, in order of falling intensity:
34.01°, I 100; 35.31°, I 49; 11.41°, I 33; 62.54°, I 32; 50.79°, I 17; 43.10°, I 15; 60.01°, I 14; 71.58°, I 8; 37.22°, I 8; 46.86°, I 7

=====

This entry pairs a crystal structure of ScZnPd4 with its simulated powder XRD pattern. Radiation: CuKα. Structure: a PBE-relaxed structure.
Lines closer than 0.1° are merged.

Structure:
```
data_ScZnPd4
_chemical_formula_sum 'Sc1 Zn1 Pd4'
_cell_length_a 5.083
_cell_length_b 5.083
_cell_length_c 5.842
_cell_angle_alpha 107.85
_cell_angle_beta 107.85
_cell_angle_gamma 41.69
_space_group_name_H-M_alt 'P 1'
_space_group_IT_number 1
loop_
_space_group_symop_operation_xyz
'x,y,z'
loop_
_atom_site_label
_atom_site_fract_x
_atom_site_fract_y
_atom_site_fract_z
Sc1 0.000 0.000 0.000
Zn1 0.000 0.000 0.500
Pd1 0.338 0.338 0.180
Pd2 0.343 0.343 0.666
Pd3 0.657 0.657 0.334
Pd4 0.662 0.662 0.820
```

Most intense lines, 10 to 90 degrees two-theta, in order of falling intensity:
39.07°, I 100; 39.66°, I 97; 42.80°, I 38; 43.79°, I 36; 50.46°, I 24; 68.26°, I 18; 68.99°, I 18; 26.57°, I 13; 75.50°, I 13; 76.66°, I 13

=====

This entry pairs a crystal structure of Sc3Zn2Pd3 with its simulated powder XRD pattern. Radiation: CuKα. Structure: a PBE-relaxed structure.
Lines closer than 0.1° are merged.

Structure:
```
data_Sc3Zn2Pd3
_chemical_formula_sum 'Sc6 Zn4 Pd6'
_cell_length_a 7.881
_cell_length_b 7.881
_cell_length_c 5.301
_cell_angle_alpha 90.00
_cell_angle_beta 90.00
_cell_angle_gamma 120.00
_space_group_name_H-M_alt 'P 1'
_space_group_IT_number 1
loop_
_space_group_symop_operation_xyz
'x,y,z'
loop_
_atom_site_label
_atom_site_fract_x
_atom_site_fract_y
_atom_site_fract_z
Sc1 0.000 0.256 0.250
Sc2 0.000 0.744 0.750
Sc3 0.256 0.000 0.250
Sc4 0.256 0.256 0.750
Sc5 0.744 0.000 0.750
Sc6 0.744 0.744 0.250
Zn1 0.333 0.667 0.000
Zn2 0.333 0.667 0.500
Zn3 0.667 0.333 0.000
Zn4 0.667 0.333 0.500
Pd1 0.000 0.397 0.750
Pd2 0.000 0.603 0.250
Pd3 0.397 0.000 0.750
Pd4 0.397 0.397 0.250
Pd5 0.603 0.000 0.250
Pd6 0.603 0.603 0.750
```

Most intense lines, 10 to 90 degrees two-theta, in order of falling intensity:
38.82°, I 100; 41.04°, I 94; 39.61°, I 69; 12.97°, I 63; 51.24°, I 47; 28.22°, I 46; 43.22°, I 28; 33.82°, I 24; 34.77°, I 23; 63.85°, I 22

=====

This entry pairs a crystal structure of Sc2Zn7Pd with its simulated powder XRD pattern. Radiation: CuKα. Structure: a PBE-relaxed structure.
Lines closer than 0.1° are merged.

Structure:
```
data_Sc2Zn7Pd
_chemical_formula_sum 'Sc2 Zn7 Pd1'
_cell_length_a 6.563
_cell_length_b 6.563
_cell_length_c 6.563
_cell_angle_alpha 60.00
_cell_angle_beta 60.00
_cell_angle_gamma 60.00
_space_group_name_H-M_alt 'P 1'
_space_group_IT_number 1
loop_
_space_group_symop_operation_xyz
'x,y,z'
loop_
_atom_site_label
_atom_site_fract_x
_atom_site_fract_y
_atom_site_fract_z
Sc1 0.250 0.250 0.250
Sc2 0.750 0.750 0.750
Zn1 0.000 0.000 0.000
Zn2 0.247 0.247 0.753
Zn3 0.247 0.753 0.247
Zn4 0.247 0.753 0.753
Zn5 0.753 0.247 0.247
Zn6 0.753 0.247 0.753
Zn7 0.753 0.753 0.247
Pd1 0.500 0.500 0.500
```

Most intense lines, 10 to 90 degrees two-theta, in order of falling intensity:
38.81°, I 100; 19.12°, I 67; 56.05°, I 65; 33.44°, I 48; 43.61°, I 32; 70.26°, I 21; 27.18°, I 18; 66.87°, I 17; 59.78°, I 16; 83.29°, I 10

=====

This entry pairs a crystal structure of ScZn4Pd2 with its simulated powder XRD pattern. Radiation: CuKα. Structure: a PBE-relaxed structure.
Lines closer than 0.1° are merged.

Structure:
```
data_ScZn4Pd2
_chemical_formula_sum 'Sc2 Zn8 Pd4'
_cell_length_a 7.237
_cell_length_b 7.237
_cell_length_c 4.370
_cell_angle_alpha 90.00
_cell_angle_beta 90.00
_cell_angle_gamma 90.00
_space_group_name_H-M_alt 'P 1'
_space_group_IT_number 1
loop_
_space_group_symop_operation_xyz
'x,y,z'
loop_
_atom_site_label
_atom_site_fract_x
_atom_site_fract_y
_atom_site_fract_z
Sc1 0.000 0.000 0.000
Sc2 0.500 0.500 0.500
Zn1 0.108 0.361 0.500
Zn2 0.139 0.608 0.000
Zn3 0.361 0.108 0.500
Zn4 0.392 0.861 0.000
Zn5 0.608 0.139 0.000
Zn6 0.639 0.892 0.500
Zn7 0.861 0.392 0.000
Zn8 0.892 0.639 0.500
Pd1 0.218 0.782 0.500
Pd2 0.282 0.282 0.000
Pd3 0.718 0.718 0.000
Pd4 0.782 0.218 0.500
```

Most intense lines, 10 to 90 degrees two-theta, in order of falling intensity:
44.70°, I 100; 40.87°, I 62; 41.32°, I 47; 34.48°, I 31; 24.60°, I 28; 35.07°, I 23; 17.33°, I 22; 77.71°, I 19; 39.37°, I 18; 52.11°, I 16

=====

This entry pairs a crystal structure of ZrScPd with its simulated powder XRD pattern. Radiation: CuKα. Structure: a PBE-relaxed structure.
Lines closer than 0.1° are merged.

Structure:
```
data_ZrScPd
_chemical_formula_sum 'Zr2 Sc2 Pd2'
_cell_length_a 3.284
_cell_length_b 3.284
_cell_length_c 11.116
_cell_angle_alpha 90.00
_cell_angle_beta 90.00
_cell_angle_gamma 90.00
_space_group_name_H-M_alt 'P 1'
_space_group_IT_number 1
loop_
_space_group_symop_operation_xyz
'x,y,z'
loop_
_atom_site_label
_atom_site_fract_x
_atom_site_fract_y
_atom_site_fract_z
Zr1 0.000 0.000 0.000
Zr2 0.500 0.500 0.189
Sc1 0.000 0.000 0.389
Sc2 0.000 0.000 0.690
Pd1 0.500 0.500 0.542
Pd2 0.500 0.500 0.839
```

Most intense lines, 10 to 90 degrees two-theta, in order of falling intensity:
36.56°, I 100; 38.78°, I 48; 68.75°, I 29; 56.00°, I 16; 64.32°, I 12; 27.15°, I 8; 42.62°, I 8; 49.18°, I 7; 77.71°, I 7; 31.64°, I 6

=====

This entry pairs a crystal structure of ZrScPd with its simulated powder XRD pattern. Radiation: CuKα. Structure: a PBE-relaxed structure.
Lines closer than 0.1° are merged.

Structure:
```
data_ZrScPd
_chemical_formula_sum 'Zr2 Sc2 Pd2'
_cell_length_a 7.445
_cell_length_b 7.445
_cell_length_c 4.638
_cell_angle_alpha 90.00
_cell_angle_beta 90.00
_cell_angle_gamma 152.68
_space_group_name_H-M_alt 'P 1'
_space_group_IT_number 1
loop_
_space_group_symop_operation_xyz
'x,y,z'
loop_
_atom_site_label
_atom_site_fract_x
_atom_site_fract_y
_atom_site_fract_z
Zr1 0.241 0.759 0.750
Zr2 0.759 0.241 0.250
Sc1 0.077 0.923 0.250
Sc2 0.923 0.077 0.750
Pd1 0.421 0.579 0.250
Pd2 0.579 0.421 0.750
```

Most intense lines, 10 to 90 degrees two-theta, in order of falling intensity:
37.10°, I 100; 37.29°, I 23; 38.83°, I 22; 69.18°, I 15; 54.93°, I 15; 67.12°, I 14; 22.77°, I 12; 79.03°, I 10; 52.00°, I 9; 65.72°, I 9

=====

This entry pairs a crystal structure of ZrSc5Pd6 with its simulated powder XRD pattern. Radiation: CuKα. Structure: a PBE-relaxed structure.
Lines closer than 0.1° are merged.

Structure:
```
data_ZrSc5Pd6
_chemical_formula_sum 'Zr1 Sc5 Pd6'
_cell_length_a 8.138
_cell_length_b 8.138
_cell_length_c 4.709
_cell_angle_alpha 106.79
_cell_angle_beta 106.79
_cell_angle_gamma 120.13
_space_group_name_H-M_alt 'P 1'
_space_group_IT_number 1
loop_
_space_group_symop_operation_xyz
'x,y,z'
loop_
_atom_site_label
_atom_site_fract_x
_atom_site_fract_y
_atom_site_fract_z
Zr1 0.000 0.000 0.000
Sc1 0.168 0.832 0.500
Sc2 0.333 0.667 0.000
Sc3 0.500 0.500 0.500
Sc4 0.667 0.333 0.000
Sc5 0.832 0.168 0.500
Pd1 0.083 0.415 0.249
Pd2 0.246 0.246 0.746
Pd3 0.415 0.083 0.249
Pd4 0.585 0.917 0.751
Pd5 0.754 0.754 0.254
Pd6 0.917 0.585 0.751
```

Most intense lines, 10 to 90 degrees two-theta, in order of falling intensity:
38.35°, I 100; 38.26°, I 50; 69.28°, I 20; 55.22°, I 17; 69.18°, I 16; 26.80°, I 15; 69.43°, I 12; 82.13°, I 10; 55.49°, I 8; 26.92°, I 8

=====

This entry pairs a crystal structure of Pd7Se with its simulated powder XRD pattern. Radiation: CuKα. Structure: a PBE-relaxed structure.
Lines closer than 0.1° are merged.

Structure:
```
data_Pd7Se
_chemical_formula_sum 'Pd7 Se1'
_cell_length_a 6.946
_cell_length_b 6.946
_cell_length_c 6.946
_cell_angle_alpha 156.69
_cell_angle_beta 98.01
_cell_angle_gamma 86.69
_space_group_name_H-M_alt 'P 1'
_space_group_IT_number 1
loop_
_space_group_symop_operation_xyz
'x,y,z'
loop_
_atom_site_label
_atom_site_fract_x
_atom_site_fract_y
_atom_site_fract_z
Pd1 0.000 0.000 0.000
Pd2 0.087 0.367 0.720
Pd3 0.277 0.277 0.000
Pd4 0.354 0.633 0.720
Pd5 0.646 0.367 0.280
Pd6 0.723 0.723 0.000
Pd7 0.913 0.633 0.280
Se1 0.500 0.000 0.500
```

Most intense lines, 10 to 90 degrees two-theta, in order of falling intensity:
40.85°, I 100; 38.72°, I 73; 41.90°, I 68; 39.56°, I 51; 58.98°, I 36; 43.92°, I 32; 77.22°, I 30; 81.21°, I 26; 39.97°, I 19; 72.24°, I 18

=====

This entry pairs a crystal structure of Pd7Se2 with its simulated powder XRD pattern. Radiation: CuKα. Structure: a PBE-relaxed structure.
Lines closer than 0.1° are merged.

Structure:
```
data_Pd7Se2
_chemical_formula_sum 'Pd14 Se4'
_cell_length_a 5.622
_cell_length_b 5.430
_cell_length_c 9.573
_cell_angle_alpha 90.00
_cell_angle_beta 93.66
_cell_angle_gamma 90.00
_space_group_name_H-M_alt 'P 1'
_space_group_IT_number 1
loop_
_space_group_symop_operation_xyz
'x,y,z'
loop_
_atom_site_label
_atom_site_fract_x
_atom_site_fract_y
_atom_site_fract_z
Pd1 0.000 0.000 0.000
Pd2 0.000 0.500 0.500
Pd3 0.073 0.158 0.292
Pd4 0.073 0.342 0.792
Pd5 0.294 0.082 0.573
Pd6 0.294 0.418 0.073
Pd7 0.468 0.599 0.649
Pd8 0.468 0.901 0.149
Pd9 0.532 0.099 0.851
Pd10 0.532 0.401 0.351
Pd11 0.706 0.582 0.927
Pd12 0.706 0.918 0.427
Pd13 0.927 0.658 0.208
Pd14 0.927 0.842 0.708
Se1 0.274 0.728 0.878
Se2 0.274 0.772 0.378
Se3 0.726 0.228 0.622
Se4 0.726 0.272 0.122
```

Most intense lines, 10 to 90 degrees two-theta, in order of falling intensity:
37.74°, I 100; 37.23°, I 100; 41.82°, I 77; 36.75°, I 63; 40.07°, I 61; 41.01°, I 52; 36.07°, I 42; 43.82°, I 38; 41.30°, I 30; 53.21°, I 27

=====

This entry pairs a crystal structure of Pd5Se8 with its simulated powder XRD pattern. Radiation: CuKα. Structure: a PBE-relaxed structure.
Lines closer than 0.1° are merged.

Structure:
```
data_Pd5Se8
_chemical_formula_sum 'Pd5 Se8'
_cell_length_a 7.499
_cell_length_b 7.499
_cell_length_c 7.499
_cell_angle_alpha 60.00
_cell_angle_beta 60.00
_cell_angle_gamma 60.00
_space_group_name_H-M_alt 'P 1'
_space_group_IT_number 1
loop_
_space_group_symop_operation_xyz
'x,y,z'
loop_
_atom_site_label
_atom_site_fract_x
_atom_site_fract_y
_atom_site_fract_z
Pd1 0.000 0.000 0.000
Pd2 0.130 0.623 0.623
Pd3 0.623 0.130 0.623
Pd4 0.623 0.623 0.130
Pd5 0.623 0.623 0.623
Se1 0.385 0.385 0.385
Se2 0.385 0.385 0.844
Se3 0.385 0.844 0.385
Se4 0.409 0.864 0.864
Se5 0.844 0.385 0.385
Se6 0.864 0.409 0.864
Se7 0.864 0.864 0.409
Se8 0.864 0.864 0.864
```

Most intense lines, 10 to 90 degrees two-theta, in order of falling intensity:
48.56°, I 100; 33.81°, I 97; 27.90°, I 58; 14.47°, I 56; 44.38°, I 42; 81.11°, I 25; 60.48°, I 21; 71.12°, I 14; 67.88°, I 12; 50.94°, I 12